[1]
This entry pairs a crystal structure of PmIn5Te4 with its theoretical XRD peak list. Radiation: Cu Kα X-rays. Structure: DFT lattice parameters and positions (GGA-PBE).
No peak broadening, texture or thermal motion is included.

Cell: 9.4806 9.4806 9.1891 Å, 113.01 113.01 27.33°
Fractional positions:
1 Pm 0.0000 0.0000 0.0000
2 In 0.0000 0.0000 0.5000
3 In 0.2813 0.2813 0.9138
4 In 0.3661 0.3661 0.5248
5 In 0.6339 0.6339 0.4752
6 In 0.7187 0.7187 0.0862
7 Te 0.1746 0.1746 0.2793
8 Te 0.4473 0.4473 0.1811
9 Te 0.5527 0.5527 0.8189
10 Te 0.8254 0.8254 0.7207

The 8 most intense peaks (2θ = 10–90°), in order of falling intensity:
28.79°, I = 100; 27.20°, I = 42; 40.07°, I = 27; 39.96°, I = 25; 40.26°, I = 21; 42.04°, I = 18; 49.27°, I = 16; 59.62°, I = 13

---

[2]
This entry pairs a crystal structure of Mn3Fe3C with its theoretical XRD peak list. Radiation: Cu Kα X-rays. Structure: DFT lattice parameters and positions (GGA-PBE).
No peak broadening, texture or thermal motion is included.

Cell: 7.5480 7.5480 7.5480 Å, 60.00 60.00 60.00°
Fractional positions:
1 Mn 0.0639 0.0639 0.6861
2 Mn 0.0639 0.6861 0.0639
3 Mn 0.0639 0.6861 0.6861
4 Mn 0.3139 0.3139 0.9361
5 Mn 0.3139 0.9361 0.3139
6 Mn 0.3139 0.9361 0.9361
7 Mn 0.6861 0.0639 0.0639
8 Mn 0.6861 0.0639 0.6861
9 Mn 0.6861 0.6861 0.0639
10 Mn 0.9361 0.3139 0.3139
11 Mn 0.9361 0.3139 0.9361
12 Mn 0.9361 0.9361 0.3139
13 Fe 0.0000 0.5000 0.5000
14 Fe 0.2912 0.2912 0.2912
15 Fe 0.2912 0.2912 0.6264
16 Fe 0.2912 0.6264 0.2912
17 Fe 0.3736 0.7088 0.7088
18 Fe 0.5000 0.0000 0.5000
19 Fe 0.5000 0.5000 0.0000
20 Fe 0.5000 0.5000 0.5000
21 Fe 0.6264 0.2912 0.2912
22 Fe 0.7088 0.3736 0.7088
23 Fe 0.7088 0.7088 0.3736
24 Fe 0.7088 0.7088 0.7088
25 C 0.0000 0.0000 0.0000
26 C 0.0000 0.0000 0.5000
27 C 0.0000 0.5000 0.0000
28 C 0.5000 0.0000 0.0000

The 8 most intense peaks (2θ = 10–90°), in order of falling intensity:
44.08°, I = 100; 41.44°, I = 31; 48.23°, I = 28; 75.59°, I = 28; 51.36°, I = 11; 14.37°, I = 8; 36.70°, I = 8; 77.43°, I = 7

---

[3]
This entry pairs a crystal structure of K4Ac3TlS8 with its theoretical XRD peak list. Radiation: Cu Kα X-rays. Structure: DFT lattice parameters and positions (GGA-PBE).
No peak broadening, texture or thermal motion is included.

Cell: 8.6933 8.6933 8.9966 Å, 118.90 118.90 59.63°
Fractional positions:
1 K 0.0000 0.0000 0.0000
2 K 0.0000 0.5000 0.0000
3 K 0.5000 0.0000 0.0000
4 K 0.5000 0.5000 0.0000
5 Ac 0.0000 0.0000 0.5000
6 Ac 0.0000 0.5000 0.5000
7 Ac 0.5000 0.0000 0.5000
8 Tl 0.5000 0.5000 0.5000
9 S 0.2377 0.2377 0.7154
10 S 0.2530 0.7285 0.7115
11 S 0.2615 0.2615 0.2813
12 S 0.2715 0.7470 0.2885
13 S 0.7285 0.2530 0.7115
14 S 0.7385 0.7385 0.7187
15 S 0.7470 0.2715 0.2885
16 S 0.7623 0.7623 0.2846

The 8 most intense peaks (2θ = 10–90°), in order of falling intensity:
11.84°, I = 100; 28.66°, I = 78; 40.15°, I = 44; 28.50°, I = 40; 25.03°, I = 37; 24.06°, I = 32; 41.55°, I = 28; 23.82°, I = 22